# 1
Structure and theoretical PXRD pattern of TaN (a DFT-relaxed cell (PBE, the Materials Project); a wavelength of 1.5418 Å).
Lines closer than 0.1° are merged.

The 7 most intense peaks (10° ≤ 2θ ≤ 90°), in order of rising 2θ:
- (1 1 1), 32.57°, I = 100
- (2 0 0), 37.78°, I = 43
- (2 2 0), 54.50°, I = 40
- (3 1 1), 64.95°, I = 42
- (2 2 2), 68.22°, I = 11
- (4 0 0), 80.71°, I = 6
- (3 3 1), 89.76°, I = 18

Structural model:
```
TaN
1.0
4.7622 0.0000 0.0000
0.0000 4.7622 0.0000
0.0000 0.0000 4.7622
Ta N
4 4
direct
0.0000 0.0000 0.0000
0.0000 0.5000 0.5000
0.5000 0.0000 0.5000
0.5000 0.5000 0.0000
0.2500 0.2500 0.7500
0.2500 0.7500 0.2500
0.7500 0.2500 0.2500
0.7500 0.7500 0.7500
```

# 2
Structure and theoretical PXRD pattern of NaEu2Tl (a DFT-relaxed cell (PBE, the Materials Project); a wavelength of 1.5418 Å).
Lines closer than 0.1° are merged.

The 8 most intense peaks (10° ≤ 2θ ≤ 90°), in order of rising 2θ:
- (1 1 1), 18.98°, I = 24
- (2 2 0), 31.25°, I = 100
- (3 1 1), 36.82°, I = 14
- (4 0 0), 44.77°, I = 19
- (3 3 1), 49.04°, I = 6
- (4 2 2), 55.61°, I = 39
- (4 4 0), 65.18°, I = 12
- (6 2 0), 74.05°, I = 17

Structural model:
```
NaEu2Tl
1.0
8.0966 0.0000 0.0000
0.0000 8.0966 0.0000
0.0000 0.0000 8.0966
Na Eu Tl
4 8 4
direct
0.0000 0.0000 0.0000
0.0000 0.5000 0.5000
0.5000 0.0000 0.5000
0.5000 0.5000 0.0000
0.2500 0.2500 0.2500
0.2500 0.2500 0.7500
0.2500 0.7500 0.2500
0.2500 0.7500 0.7500
0.7500 0.2500 0.2500
0.7500 0.2500 0.7500
0.7500 0.7500 0.2500
0.7500 0.7500 0.7500
0.0000 0.0000 0.5000
0.0000 0.5000 0.0000
0.5000 0.0000 0.0000
0.5000 0.5000 0.5000
```

# 3
Structure and theoretical PXRD pattern of Y5Mg5Al12Fe4Si6 (a DFT-relaxed cell (PBE, the Materials Project); a wavelength of 1.5418 Å).
Lines closer than 0.1° are merged.

The 8 most intense peaks (10° ≤ 2θ ≤ 90°), in order of rising 2θ:
- (2 2 0), 21.10°, I = 38
- (0 0 1), 22.23°, I = 19
- (4 0 0), 30.01°, I = 32
- (2 2 1), 30.84°, I = 20
- (3 2 1), 35.24°, I = 86
- (4 0 1), 37.67°, I = 100
- (4 4 0), 42.95°, I = 30
- (0 0 2), 45.36°, I = 33

Structural model:
```
Y5Mg5Al12Fe4Si6
1.0
11.9112 0.0000 0.0000
0.0000 11.9112 0.0000
0.0000 0.0000 3.9986
Y Mg Al Fe Si
5 5 12 4 6
direct
0.0000 0.0000 0.0000
0.2517 0.5000 0.0000
0.5000 0.2517 0.0000
0.5000 0.7483 0.0000
0.7483 0.5000 0.0000
0.2021 0.2021 0.0000
0.2021 0.7979 0.0000
0.5000 0.5000 0.5000
0.7979 0.2021 0.0000
0.7979 0.7979 0.0000
0.1122 0.3728 0.5000
0.1122 0.6272 0.5000
0.3315 0.3315 0.5000
0.3315 0.6685 0.5000
0.3728 0.1122 0.5000
0.3728 0.8878 0.5000
0.6272 0.1122 0.5000
0.6272 0.8878 0.5000
0.6685 0.3315 0.5000
0.6685 0.6685 0.5000
0.8878 0.3728 0.5000
0.8878 0.6272 0.5000
0.0000 0.3060 0.0000
0.0000 0.6940 0.0000
0.3060 0.0000 0.0000
0.6940 0.0000 0.0000
0.0000 0.1892 0.5000
0.0000 0.5000 0.0000
0.0000 0.8108 0.5000
0.1892 0.0000 0.5000
0.5000 0.0000 0.0000
0.8108 0.0000 0.5000
```